For K17RbNa11, a DFT-relaxed cell (GGA-PBE, Alexandria) gives the simulated XRD peak list in this record (Cu Ka).
Lines closer than 0.1° are merged.

Lattice parameters (Å, degrees): 12.992 12.992 12.946 109.37 109.37 109.37
Sites, in units of the cell vectors:
K: 0.000 0.000 0.000
K: 0.002 0.645 0.002
K: 0.242 0.574 0.575
K: 0.287 0.287 0.706
K: 0.310 0.711 0.312
K: 0.340 0.340 0.341
K: 0.381 0.676 0.990
K: 0.389 0.982 0.681
K: 0.574 0.242 0.575
K: 0.582 0.582 0.263
K: 0.645 0.002 0.002
K: 0.676 0.381 0.990
K: 0.678 0.987 0.387
K: 0.711 0.310 0.312
K: 0.982 0.389 0.681
K: 0.983 0.983 0.645
K: 0.987 0.678 0.387
Rb: 0.625 0.625 0.806
Na: 0.169 0.349 0.994
Na: 0.169 0.812 0.816
Na: 0.174 0.993 0.351
Na: 0.349 0.169 0.994
Na: 0.350 0.992 0.171
Na: 0.632 0.824 0.621
Na: 0.812 0.169 0.816
Na: 0.824 0.632 0.621
Na: 0.826 0.826 0.195
Na: 0.992 0.350 0.171
Na: 0.993 0.174 0.351

Largest 10 diffraction maxima, sorted by position, 10° ≤ 2θ ≤ 80°:
23.73 deg, intensity 13
25.15 deg, intensity 100
25.23 deg, intensity 87
27.81 deg, intensity 17
27.94 deg, intensity 23
29.17 deg, intensity 9
30.30 deg, intensity 8
30.42 deg, intensity 10
44.34 deg, intensity 23
44.44 deg, intensity 20